# 1
Computed powder diffractogram
Compound: Sc2GaB2Ir5
Radiation: Cu Ka
Structure: a structure optimized by DFT (GGA-PBE)
Neutral-atom scattering factors, no anomalous dispersion.

Atomic structure:
Unit cell a=9.414 b=9.414 c=3.076 alpha=90.00 beta=90.00 gamma=90.00
Space group P4/mbm (No. 127)
Inequivalent atoms, fractional coordinates:
Sc  0.176  0.324  0.000 [4 per cell]
Ga  0.000  0.000  0.000 [2 per cell]
B  0.124  0.624  0.000 [4 per cell]
Ir  0.000  0.500  0.500 [2 per cell]
Ir  0.070  0.784  0.500 [8 per cell]

Largest 12 diffraction maxima, sorted by position, 5 to 70 degrees two-theta:
two_theta  intensity  (hkl)
21.10  338  2 1 0
29.03  817  0 0 1
30.02  321  3 1 0
34.35  476  3 2 0
36.16  471  2 1 1
39.47  782  4 1 0
39.91  302  2 2 1
42.24  1000  3 1 1
42.97  501  4 2 0
45.57  557  3 2 1
49.73  439  4 1 1
52.69  238  4 2 1

---

# 2
Computed powder diffractogram
Compound: ErTc3P3
Radiation: Cu Ka
Structure: a structure optimized by DFT (GGA-PBE)
Neutral-atom scattering factors, no anomalous dispersion.

Atomic structure:
Unit cell a=6.432 b=6.432 c=6.432 alpha=90.00 beta=90.00 gamma=90.00
Space group Pm-3n (No. 223)
Inequivalent atoms, fractional coordinates:
Er  0.000  0.000  0.000 [2 per cell]
Tc  0.000  0.250  0.500 [6 per cell]
P  0.000  0.500  0.250 [6 per cell]

Largest 12 diffraction maxima, sorted by position, 5 to 70 degrees two-theta:
two_theta  intensity  (hkl)
19.52  19  1 1 0
27.74  435  2 0 0
31.09  285  2 1 0
34.15  1000  2 1 1
44.55  7  3 1 0
49.06  66  2 2 2
51.21  71  3 2 0
53.29  554  3 2 1
57.30  194  4 0 0
64.83  153  4 2 0
66.63  63  4 2 1
68.41  130  3 3 2

---

# 3
Computed powder diffractogram
Compound: LaInCo2H8
Radiation: Cu Ka
Structure: a structure optimized by DFT (GGA-PBE)
Neutral-atom scattering factors, no anomalous dispersion.

Atomic structure:
Unit cell a=4.3515 b=4.3515 c=6.6665 alpha=90.00 beta=90.00 gamma=120.00
Space group P-3 (No. 147)
Inequivalent atoms, fractional coordinates:
La  0.0000  0.0000  0.0000 [1 per cell]
In  0.0000  0.0000  0.5000 [1 per cell]
Co  0.3333  0.6667  0.7009 [2 per cell]
H  0.0467  0.6469  0.2788 [6 per cell]
H  0.3333  0.6667  0.9298 [2 per cell]

Largest 12 diffraction maxima, sorted by position, 5 to 70 degrees two-theta:
two_theta  intensity  (hkl)
23.61  540  1 0 0
26.75  78  0 0 2
27.18  263  1 0 1
35.97  1000  0 1 2
41.50  491  1 1 0
48.30  83  2 0 0
50.06  100  2 -1 2
50.32  47  0 2 1
55.11  44  0 0 4
56.07  265  2 0 2
60.77  141  1 0 4
65.54  66  2 1 0

---

# 4
Computed powder diffractogram
Compound: Ac2Ag2S5
Radiation: Cu Ka
Structure: a structure optimized by DFT (GGA-PBE)
Neutral-atom scattering factors, no anomalous dispersion.

Atomic structure:
Unit cell a=16.172 b=5.030 c=6.193 alpha=90.00 beta=109.90 gamma=90.00
Space group C2/m (No. 12)
Inequivalent atoms, fractional coordinates:
Ac  0.112  0.000  0.393 [4 per cell]
Ag  0.104  0.500  0.903 [4 per cell]
S  0.000  0.500  0.500 [2 per cell]
S  0.089  0.000  0.870 [4 per cell]
S  0.196  0.500  0.305 [4 per cell]

Largest 12 diffraction maxima, sorted by position, 5 to 70 degrees two-theta:
two_theta  intensity  (hkl)
11.64  180  2 0 0
23.40  668  4 0 0
25.35  728  1 1 1
25.96  1000  3 1 -1
28.86  400  2 0 -2
33.37  245  5 1 -1
35.70  428  0 2 0
36.61  389  2 0 2
41.94  326  5 1 1
43.12  432  4 2 0
46.52  258  2 2 -2
52.06  278  2 2 2

---

# 5
Computed powder diffractogram
Compound: Ba4GeSeCl2
Radiation: Cu Ka
Structure: a structure optimized by DFT (GGA-PBE)
Neutral-atom scattering factors, no anomalous dispersion.

Atomic structure:
Unit cell a=8.156 b=4.770 c=8.285 alpha=90.00 beta=109.87 gamma=90.00
Space group P2/m (No. 10)
Inequivalent atoms, fractional coordinates:
Ba  0.229  0.000  0.253 [2 per cell]
Ba  0.234  0.500  0.739 [2 per cell]
Ge  0.000  0.000  0.500 [1 per cell]
Se  0.000  0.500  0.000 [1 per cell]
Cl  0.500  0.000  0.000 [1 per cell]
Cl  0.500  0.500  0.500 [1 per cell]

Largest 12 diffraction maxima, sorted by position, 5 to 70 degrees two-theta:
two_theta  intensity  (hkl)
11.54  78  1 0 0
22.84  218  0 0 2
23.19  65  2 0 0
26.54  1000  1 1 1
37.66  392  0 2 0
38.10  357  2 0 2
44.70  70  1 1 3
46.67  205  0 0 4
54.70  82  2 2 2
61.41  116  0 2 4
62.07  151  3 1 3
68.24  81  1 1 5

---

# 6
Computed powder diffractogram
Compound: Ac2LuAg
Radiation: Cu Ka
Structure: a structure optimized by DFT (GGA-PBE)
Neutral-atom scattering factors, no anomalous dispersion.

Atomic structure:
Unit cell a=3.980 b=3.980 c=8.661 alpha=90.00 beta=90.00 gamma=90.00
Space group P4/mmm (No. 123)
Inequivalent atoms, fractional coordinates:
Ac  0.000  0.000  0.227 [2 per cell]
Lu  0.500  0.500  0.500 [1 per cell]
Ag  0.500  0.500  0.000 [1 per cell]

Largest 12 diffraction maxima, sorted by position, 5 to 70 degrees two-theta:
two_theta  intensity  (hkl)
22.34  49  1 0 0
24.61  51  1 0 1
30.50  1000  1 0 2
31.79  472  1 1 0
41.71  92  0 0 4
44.98  43  1 1 3
45.58  177  2 0 0
53.38  181  1 1 4
55.84  370  2 1 2
63.49  107  2 0 4
66.44  58  2 2 0
69.23  63  1 0 6

---

Question: What is the formula in the third record?
Answer: LaInCo2H8